Theoretical powder diffraction line list
Compound: Nd7YEr12
Radiation: Cu Kα (weighted mean of Kα1 and Kα2)
Structure: a crystal structure in Alexandria, relaxed with GGA-PBE
Intensities are scaled so that the largest is 100.

Principal peaks in the range 2θ from 5° to 70°, most intense first:
| d/Å | 2theta | I_rel |
| --- | --- | --- |
| 2.827 | 31.7 | 100 |
| 2.707 | 33.1 | 54 |
| 2.818 | 31.8 | 47 |
| 2.910 | 30.7 | 37 |
| 2.752 | 32.5 | 24 |
| 1.658 | 55.4 | 24 |

Cell and atoms:
```
Nd7YEr12
1.0
5.9758 3.4501 5.4172
-5.9758 3.4501 5.4172
0.0000 -6.9003 5.4172
Nd Y Er
7 1 12
Cartesian
0.0000 0.0000 0.0000
-1.9178 -0.5629 4.7015
1.4463 -1.3794 4.7015
0.4714 1.9423 4.7015
-0.4714 -1.9423 11.5500
-1.4463 1.3794 11.5500
1.9178 0.5629 11.5500
0.0000 0.0000 8.1258
-5.2522 0.5312 6.7753
-3.0862 -4.2829 9.4762
-0.7617 -3.2052 7.2360
-3.1567 -0.9429 9.0155
-2.3949 2.2623 7.2360
2.1660 -4.8142 6.7753
-2.1660 4.8141 9.4762
2.3949 -2.2623 9.0155
3.1567 0.9429 7.2360
0.7617 3.2052 9.0155
3.0862 4.2829 6.7753
5.2522 -0.5312 9.4762
```